Diffraction record for AgBH8C4N8F4. The powder X-ray diffraction pattern is theoretical, not measured: it uses a cell relaxed with PBE and a wavelength of 1.5418 Å.

The 8 most intense peaks (10 to 90 degrees two-theta), by angle:
16.71°, I 100, (0 0 2); 17.51°, I 51, (1 0 -1); 20.22°, I 71, (1 0 1); 25.54°, I 58, (0 2 -2); 27.81°, I 56, (1 0 -3); 29.58°, I 80, (-1 1 3); 33.74°, I 74, (1 -3 0); 35.31°, I 44, (1 -3 1)

```
AgBH8C4N8F4
1.0
5.3234 0.0000 0.0000
-0.4084 8.9843 0.0000
-1.9073 -0.3716 10.6101
Ag B H C N F
2 2 16 8 16 8
Direct
0.0178 0.3380 0.0049 Ag
0.9822 0.6620 0.9951 Ag
0.3986 0.2032 0.4826 B
0.6014 0.7968 0.5174 B
0.0014 0.6581 0.5788 H
0.0754 0.9956 0.6314 H
0.1607 0.0551 0.0829 H
0.1825 0.6819 0.2947 H
0.2199 0.0925 0.2471 H
0.2809 0.5463 0.4023 H
0.2898 0.6812 0.6826 H
0.3522 0.0957 0.7030 H
0.6478 0.9043 0.2970 H
0.7102 0.3188 0.3174 H
0.7191 0.4537 0.5977 H
0.7801 0.9075 0.7529 H
0.8175 0.3181 0.7053 H
0.8393 0.9449 0.9171 H
0.9246 0.0044 0.3686 H
0.9986 0.3419 0.4212 H
0.0728 0.4929 0.7064 C
0.1139 0.0274 0.8223 C
0.4474 0.5157 0.8433 C
0.4707 0.1616 0.9266 C
0.5293 0.8384 0.0734 C
0.5526 0.4843 0.1567 C
0.8861 0.9726 0.1777 C
0.9272 0.5071 0.2936 C
0.1000 0.0505 0.1684 N
0.1207 0.6221 0.6548 N
0.1398 0.5885 0.3390 N
0.1823 0.0443 0.7110 N
0.2345 0.4400 0.8043 N
0.2567 0.0889 0.9297 N
0.3324 0.7709 0.0667 N
0.3556 0.4193 0.1186 N
0.6444 0.5807 0.8814 N
0.6676 0.2291 0.9333 N
0.7433 0.9111 0.0703 N
0.7655 0.5600 0.1957 N
0.8177 0.9557 0.2890 N
0.8602 0.4115 0.6610 N
0.8793 0.3779 0.3452 N
0.9000 0.9495 0.8316 N
0.1502 0.1358 0.4732 F
0.3808 0.3589 0.5030 F
0.4322 0.8532 0.4170 F
0.4834 0.1764 0.3672 F
0.5166 0.8236 0.6328 F
0.5678 0.1468 0.5830 F
0.6192 0.6411 0.4970 F
0.8498 0.8642 0.5268 F
```